(1)
This entry pairs a crystal structure of ZrH3NF4 with its computed powder XRD pattern. Radiation: Cu Kα, 1.54184 Å. Structure: the PBE geometry in the Materials Project.

Top 8 peaks for 2θ from 15° to 90°, in order of falling intensity:
2θ (°)	Rel. int.	index
16.09	100.0	1 0 -1
24.61	93.4	1 -2 1
22.83	54.7	1 0 -2
22.88	40.2	1 0 1
32.56	35.4	2 0 0
46.64	26.6	3 0 -2
49.63	26.0	3 -2 1
31.08	22.0	1 2 -1

Crystal structure
```
data_ZrH3NF4
_chemical_formula_sum 'Zr4 H12 N4 F16'
_symmetry_space_group_name_H-M 'P -1'
_symmetry_Int_Tables_number 2
_cell_length_a 6.1467
_cell_length_b 8.1915
_cell_length_c 8.7000
_cell_angle_alpha 106.97
_cell_angle_beta 104.00
_cell_angle_gamma 106.73
loop_
_symmetry_equiv_pos_as_xyz
'x,y,z'
'-x,-y,-z'
loop_
_atom_site_label
_atom_site_fract_x
_atom_site_fract_y
_atom_site_fract_z
Zr1 0.2234 0.2921 0.3709
Zr2 0.2431 0.7876 0.3397
H1 0.1889 0.2863 0.9411
H2 0.1958 0.9178 0.9453
H3 0.2018 0.4902 0.9410
H4 0.2693 0.7644 0.8203
H5 0.2810 0.3566 0.7990
H6 0.2822 0.9519 0.7866
N1 0.1607 0.3561 0.8625
N2 0.1835 0.8546 0.8215
F1 0.0091 0.7174 0.4803
F2 0.1073 0.9969 0.3321
F3 0.1430 0.4899 0.2768
F4 0.2575 0.1832 0.1435
F5 0.2852 0.7347 0.1121
F6 0.3962 0.5668 0.5889
F7 0.4297 0.2659 0.5966
F8 0.4442 0.9591 0.6115
```

(2)
This entry pairs a crystal structure of NaHF2 with its computed powder XRD pattern. Radiation: Cu Kα, 1.54184 Å. Structure: the PBE geometry in the Materials Project.

Top 8 peaks for 2θ from 15° to 90°, in order of falling intensity:
2θ (°)	Rel. int.	index
36.28	100.0	1 1 -1
25.17	78.9	1 1 0
47.00	63.7	0 2 1
51.66	51.5	2 2 0
48.85	35.3	2 0 1
40.10	26.9	1 1 1
42.23	24.3	2 0 -1
57.14	16.8	3 1 0

Crystal structure
```
data_NaHF2
_chemical_formula_sum 'Na2 H2 F4'
_symmetry_space_group_name_H-M 'C 1 2 1'
_symmetry_Int_Tables_number 5
_cell_length_a 5.1729
_cell_length_b 4.8946
_cell_length_c 3.1846
_cell_angle_alpha 90.00
_cell_angle_beta 98.05
_cell_angle_gamma 90.00
loop_
_symmetry_equiv_pos_as_xyz
'x,y,z'
'-x,y,-z'
'x+1/2,y+1/2,z'
'-x+1/2,y+1/2,-z'
loop_
_atom_site_label
_atom_site_fract_x
_atom_site_fract_y
_atom_site_fract_z
Na1 0.0000 0.0000 0.0000
H1 0.0000 0.6791 0.5000
F1 0.2144 0.7181 0.6109
```

(3)
This entry pairs a crystal structure of NaHF2 with its computed powder XRD pattern. Radiation: Cu Kα, 1.54184 Å. Structure: the PBE geometry in the Materials Project.

Top 8 peaks for 2θ from 15° to 90°, in order of falling intensity:
2θ (°)	Rel. int.	index
32.05	100.0	0 1 2
44.14	57.0	0 1 5
51.91	41.6	1 1 0
19.21	27.9	0 0 3
55.30	26.6	1 0 7
62.33	10.7	2 0 2
70.45	10.5	2 0 5
55.86	9.2	1 1 3

Crystal structure
```
data_NaHF2
_chemical_formula_sum 'Na3 H3 F6'
_symmetry_space_group_name_H-M 'R -3 m'
_symmetry_Int_Tables_number 166
_symmetry_space_group_name_Hall '-R 3 2"'
_cell_length_a 3.5227
_cell_length_b 3.5227
_cell_length_c 13.8641
_cell_angle_alpha 90.00
_cell_angle_beta 90.00
_cell_angle_gamma 120.00
loop_
_atom_site_label
_atom_site_fract_x
_atom_site_fract_y
_atom_site_fract_z
Na1 0.0000 0.0000 0.0000
H1 0.0000 0.0000 0.5000
F1 0.0000 0.0000 0.4172
```

(4)
This entry pairs a crystal structure of NaHF2 with its computed powder XRD pattern. Radiation: Cu Kα, 1.54184 Å. Structure: the PBE geometry in the Materials Project.

Top 8 peaks for 2θ from 15° to 90°, in order of falling intensity:
2θ (°)	Rel. int.	index
39.04	100.0	1 1 1
42.36	62.8	0 2 1
23.62	60.2	1 1 0
42.15	56.5	2 0 -1
31.26	55.4	0 2 0
48.32	40.6	2 2 0
57.56	27.7	3 1 0
34.51	23.0	1 1 -1

Crystal structure
```
data_NaHF2
_chemical_formula_sum 'Na2 H2 F4'
_symmetry_space_group_name_H-M 'C 1 2 1'
_symmetry_Int_Tables_number 5
_cell_length_a 5.0682
_cell_length_b 5.7233
_cell_length_c 3.2442
_cell_angle_alpha 90.00
_cell_angle_beta 99.16
_cell_angle_gamma 90.00
loop_
_symmetry_equiv_pos_as_xyz
'x,y,z'
'-x,y,-z'
'x+1/2,y+1/2,z'
'-x+1/2,y+1/2,-z'
loop_
_atom_site_label
_atom_site_fract_x
_atom_site_fract_y
_atom_site_fract_z
Na1 0.0000 0.0000 0.0000
H1 0.0000 0.3611 0.5000
F1 0.2033 0.3429 0.3906
```

(5)
This entry pairs a crystal structure of Na2P2H12O11F2 with its computed powder XRD pattern. Radiation: Cu Kα, 1.54184 Å. Structure: the PBE geometry in the Materials Project.

Top 8 peaks for 2θ from 15° to 90°, in order of falling intensity:
2θ (°)	Rel. int.	index
21.60	100.0	3 1 -1
24.81	88.8	3 1 1
26.74	74.3	1 1 -3
17.12	71.8	1 1 0
28.14	65.4	6 0 -2
20.25	60.9	2 0 2
29.49	58.0	4 0 -4
23.63	37.0	3 1 -2

Crystal structure
```
data_Na2P2H12O11F2
_chemical_formula_sum 'Na8 P8 H48 O44 F8'
_symmetry_space_group_name_H-M 'C 1 2/c 1'
_symmetry_Int_Tables_number 15
_cell_length_a 19.3146
_cell_length_b 5.4035
_cell_length_c 12.8072
_cell_angle_alpha 90.00
_cell_angle_beta 109.78
_cell_angle_gamma 90.00
loop_
_symmetry_equiv_pos_as_xyz
'x,y,z'
'-x,-y,-z'
'-x,y,-z+1/2'
'x,-y,z+1/2'
'x+1/2,y+1/2,z'
'-x+1/2,-y+1/2,-z'
'-x+1/2,y+1/2,-z+1/2'
'x+1/2,-y+1/2,z+1/2'
loop_
_atom_site_label
_atom_site_fract_x
_atom_site_fract_y
_atom_site_fract_z
Na1 0.0207 0.0835 0.3793
P1 0.1623 0.1576 0.7795
H1 0.0405 0.4657 0.7560
H2 0.0813 0.3598 0.0137
H3 0.1112 0.1220 0.0843
H4 0.1494 0.4009 0.4373
H5 0.1521 0.2786 0.5504
H6 0.2301 0.4986 0.8106
O1 0.0000 0.4195 0.2500
O2 0.0660 0.1953 0.0328
O3 0.0835 0.1118 0.7665
O4 0.1191 0.3574 0.4827
O5 0.1812 0.4380 0.8151
O6 0.1889 0.0820 0.6851
F1 0.2127 0.0111 0.8867
```

(6)
This entry pairs a crystal structure of NaPH2OF6 with its computed powder XRD pattern. Radiation: Cu Kα, 1.54184 Å. Structure: the PBE geometry in the Materials Project.

Top 8 peaks for 2θ from 15° to 90°, in order of falling intensity:
2θ (°)	Rel. int.	index
18.26	100.0	0 1 1
24.74	94.2	2 1 1
27.88	62.9	2 2 0
16.55	41.3	2 0 0
57.57	28.0	4 4 0
40.57	25.8	4 2 0
16.69	24.3	1 0 1
22.26	21.7	0 2 0

Crystal structure
```
data_NaPH2OF6
_chemical_formula_sum 'Na4 P4 H8 O4 F24'
_symmetry_space_group_name_H-M 'P n n a'
_symmetry_Int_Tables_number 52
_cell_length_a 10.7149
_cell_length_b 7.9877
_cell_length_c 6.1185
_cell_angle_alpha 90.00
_cell_angle_beta 90.00
_cell_angle_gamma 90.00
loop_
_symmetry_equiv_pos_as_xyz
'x,y,z'
'-x,-y,-z'
'-x+1/2,-y,z'
'x+1/2,y,-z'
'x,-y+1/2,-z+1/2'
'-x,y+1/2,z+1/2'
'-x+1/2,y+1/2,-z+1/2'
'x+1/2,-y+1/2,z+1/2'
loop_
_atom_site_label
_atom_site_fract_x
_atom_site_fract_y
_atom_site_fract_z
Na1 0.2384 0.2500 0.2500
P1 0.0000 0.0000 0.0000
H1 0.1771 0.5049 0.9302
O1 0.2500 0.0000 0.4747
F1 0.0053 0.5295 0.7644
F2 0.1020 0.6508 0.4673
F3 0.1142 0.1367 0.9791
```

Please write out number 3 again, unchanged.
This entry pairs a crystal structure of NaHF2 with its computed powder XRD pattern. Radiation: Cu Kα, 1.54184 Å. Structure: the PBE geometry in the Materials Project.

Top 8 peaks for 2θ from 15° to 90°, in order of falling intensity:
2θ (°)	Rel. int.	index
32.05	100.0	0 1 2
44.14	57.0	0 1 5
51.91	41.6	1 1 0
19.21	27.9	0 0 3
55.30	26.6	1 0 7
62.33	10.7	2 0 2
70.45	10.5	2 0 5
55.86	9.2	1 1 3

Crystal structure
```
data_NaHF2
_chemical_formula_sum 'Na3 H3 F6'
_symmetry_space_group_name_H-M 'R -3 m'
_symmetry_Int_Tables_number 166
_symmetry_space_group_name_Hall '-R 3 2"'
_cell_length_a 3.5227
_cell_length_b 3.5227
_cell_length_c 13.8641
_cell_angle_alpha 90.00
_cell_angle_beta 90.00
_cell_angle_gamma 120.00
loop_
_atom_site_label
_atom_site_fract_x
_atom_site_fract_y
_atom_site_fract_z
Na1 0.0000 0.0000 0.0000
H1 0.0000 0.0000 0.5000
F1 0.0000 0.0000 0.4172
```